NaMg2V3O10: computed XRD peak list (a wavelength of 1.5418 Å), based on a GGA+U-relaxed structure.

Main lines, low angle first (2θ from 15° to 90°):
- hkl 1 -1 1, 2θ 18.9, rel. 254
- hkl 1 1 -1, 2θ 20.6, rel. 398
- hkl -1 1 2, 2θ 26.4, rel. 261
- hkl 0 1 2, 2θ 27.2, rel. 230
- hkl 2 0 0, 2θ 27.4, rel. 1000
- hkl 0 2 -2, 2θ 28.7, rel. 808
- hkl 0 0 3, 2θ 29.3, rel. 665
- hkl 2 -1 1, 2θ 29.9, rel. 268
- hkl 0 2 1, 2θ 32.3, rel. 285
- hkl -2 2 2, 2θ 40.3, rel. 291

Crystal structure
```
data_NaMg2V3O10
_chemical_formula_sum 'Na2 Mg4 V6 O20'
_cell_length_a 6.8517
_cell_length_b 6.8730
_cell_length_c 9.7776
_cell_angle_alpha 105.13
_cell_angle_beta 100.31
_cell_angle_gamma 101.48
_symmetry_space_group_name_H-M 'P -1'
_symmetry_Int_Tables_number 2
loop_
_symmetry_equiv_pos_as_xyz
'x,y,z'
'-x,-y,-z'
loop_
_atom_site_label
_atom_site_type_symbol
_atom_site_fract_x
_atom_site_fract_y
_atom_site_fract_z
Na1 Na 0.1450 0.0187 0.3689
Mg1 Mg 0.2559 0.4312 0.7050
Mg2 Mg 0.2916 0.8174 0.9822
V1 V 0.2683 0.3382 0.0458
V2 V 0.2725 0.5720 0.3873
V3 V 0.3856 0.9516 0.6939
O1 O 0.0204 0.2424 0.0391
O2 O 0.0561 0.6327 0.3233
O3 O 0.2264 0.3952 0.4779
O4 O 0.2267 0.1081 0.6566
O5 O 0.2729 0.7561 0.7581
O6 O 0.2880 0.4982 0.9338
O7 O 0.3705 0.1312 0.9863
O8 O 0.3709 0.9138 0.2078
O9 O 0.4026 0.4809 0.2425
O10 O 0.4300 0.8076 0.5203
```